This entry pairs a crystal structure of Ac2CuWO6 with its theoretical X-ray diffraction stick pattern. Radiation: Cu Kα. Structure: DFT lattice parameters and positions (GGA+U).
No peak broadening, texture or thermal motion is included.

The 10 most intense peaks (10° ≤ 2θ ≤ 80°), low angle first:
- 30.13°, I = 22
- 30.29°, I = 100
- 31.00°, I = 23
- 42.95°, I = 12
- 43.77°, I = 24
- 53.36°, I = 11
- 53.61°, I = 21
- 53.91°, I = 12
- 54.70°, I = 20
- 63.00°, I = 14

Structural model:
a b c (Å): 5.9008 5.9008 5.9321
angles (deg): 120.10 120.10 58.54
Fractional coordinates of all 10 atoms:
Ac1 0.2478 0.2478 0.2283
Ac2 0.7522 0.7522 0.7717
Cu1 0.5000 0.5000 0.0000
W1 0.0000 0.0000 0.5000
O1 0.1833 0.6962 0.2020
O2 0.2214 0.2214 0.6201
O3 0.3038 0.8167 0.7980
O4 0.6962 0.1833 0.2020
O5 0.7786 0.7786 0.3799
O6 0.8167 0.3038 0.7980